Starting from a structure optimized by DFT (PBE), the powder diffraction line list of Sm4PdPt2 was computed for Cu Kα.
Peak positions follow from Bragg's law for the DFT cell and can differ from measured ones.

Cell and atoms:
```
Sm4PdPt2
1.0
-4.575 4.580 4.629
4.575 -4.580 4.629
4.575 4.580 -4.629
Sm Pd Pt
8 2 4
direct
0.198 0.256 0.557
0.198 0.641 0.943
0.256 0.198 0.057
0.359 0.802 0.557
0.641 0.198 0.443
0.744 0.802 0.943
0.802 0.359 0.057
0.802 0.744 0.443
0.125 0.875 0.250
0.875 0.125 0.750
0.000 0.500 0.500
0.500 0.000 0.000
0.500 0.500 0.000
0.500 0.500 0.500
```

The 10 most intense peaks (10 to 80 degrees two-theta), most intense first:
two_theta, intensity
27.6, 100
30.6, 97
36.7, 51
39.4, 51
46.3, 38
36.7, 36
48.3, 31
13.6, 27
58.6, 24
36.5, 21